# BaCrH4
Computed powder X-ray diffraction pattern, copper Kα. Input: a structure optimized by DFT (GGA-PBE).
No peak broadening, texture or thermal motion is included.

Top 12 peaks for 15 to 90 degrees two-theta, in order of rising 2θ:
- 2θ 17.41, d 5.093, intensity 30
- 2θ 24.72, d 3.601, intensity 81
- 2θ 29.84, d 2.994, intensity 100
- 2θ 34.76, d 2.581, intensity 11
- 2θ 35.24, d 2.547, intensity 30
- 2θ 46.83, d 1.940, intensity 55
- 2θ 50.70, d 1.801, intensity 11
- 2θ 55.86, d 1.646, intensity 16
- 2θ 57.19, d 1.611, intensity 15
- 2θ 59.94, d 1.543, intensity 13
- 2θ 71.48, d 1.320, intensity 15
- 2θ 78.78, d 1.215, intensity 12

Structure:
```
data_BaCrH4
_chemical_formula_sum 'Ba2 Cr2 H8'
_space_group_name_H-M_alt 'P 4/n m m'
_space_group_IT_number 129
_cell_length_a 7.2030
_cell_length_b 7.2030
_cell_length_c 3.7007
_cell_angle_alpha 90.00
_cell_angle_beta 90.00
_cell_angle_gamma 90.00
loop_
_space_group_symop_operation_xyz
'x,y,z'
'-x,-y,-z'
'-y+1/2,x,z'
'y+1/2,-x,-z'
'-x+1/2,-y+1/2,z'
'x+1/2,y+1/2,-z'
'y,-x+1/2,z'
'-y,x+1/2,-z'
'x+1/2,-y,-z'
'-x+1/2,y,z'
'-y,-x,-z'
'y,x,z'
'-x,y+1/2,-z'
'x,-y+1/2,z'
'y+1/2,x+1/2,-z'
'-y+1/2,-x+1/2,z'
loop_
_atom_site_label
_atom_site_type_symbol
_atom_site_fract_x
_atom_site_fract_y
_atom_site_fract_z
_atom_site_occupancy
Ba1 Ba 0.2500 0.2500 0.0128 1
Cr1 Cr 0.2500 0.7500 0.5000 1
H1 H 0.0097 0.7500 0.4879 1
```